Computed X-ray diffraction stick pattern
Compound: Ce2Ga2Ge4Ru
Radiation: λ = 1.5418 Å (Cu Kα)
Structure: a crystal structure in Alexandria, relaxed with PBE

Cell and atoms:
Unit cell a=6.313 b=6.313 c=8.736 alpha=90.00 beta=90.00 gamma=90.00
Space group I4/mmm (No. 139)
One atom of each set of equivalent atoms:
1 Ce 0.000 0.500 0.250 [4 per cell]
2 Ga 0.000 0.000 0.214 [4 per cell]
3 Ge 0.221 0.221 0.000 [8 per cell]
4 Ru 0.000 0.000 0.500 [2 per cell]

Most intense lines, 10° ≤ 2θ ≤ 90°, low angle first:
2theta	intensity
28.6	33
35.1	100
40.4	61
41.3	27
59.2	34
70.0	21

---

Computed X-ray diffraction stick pattern
Compound: CeGa2Tc2Ge
Radiation: λ = 1.5418 Å (Cu Kα)
Structure: a crystal structure in Alexandria, relaxed with PBE

Cell and atoms:
Unit cell a=4.602 b=4.602 c=5.647 alpha=90.00 beta=90.00 gamma=90.00
Space group P4/mmm (No. 123)
One atom of each set of equivalent atoms:
1 Ce 0.000 0.000 0.000 [1 per cell]
2 Ga 0.500 0.500 0.240 [2 per cell]
3 Tc 0.000 0.500 0.500 [2 per cell]
4 Ge 0.000 0.000 0.500 [1 per cell]

Most intense lines, 10° ≤ 2θ ≤ 90°, low angle first:
2theta	intensity
31.7	100
37.4	89
39.2	95
55.2	56
56.5	43
66.3	28

---

Computed X-ray diffraction stick pattern
Compound: Ce2Ga2H
Radiation: λ = 1.5418 Å (Cu Kα)
Structure: a crystal structure in Alexandria, relaxed with PBE

Cell and atoms:
Unit cell a=11.338 b=4.287 c=8.321 alpha=90.00 beta=90.50 gamma=90.00
Space group C2/m (No. 12)
One atom of each set of equivalent atoms:
1 Ce 0.147 0.000 0.134 [4 per cell]
2 Ce 0.150 0.000 0.619 [4 per cell]
3 Ga 0.064 0.500 0.372 [4 per cell]
4 Ga 0.073 0.500 0.880 [4 per cell]
5 H 0.243 0.500 0.624 [4 per cell]

Most intense lines, 10° ≤ 2θ ≤ 90°, low angle first:
2theta	intensity
31.0	100
31.6	73
38.3	36
38.6	34
42.2	24
43.5	22

---

Computed X-ray diffraction stick pattern
Compound: Ce2HfGa6
Radiation: λ = 1.5418 Å (Cu Kα)
Structure: a crystal structure in Alexandria, relaxed with PBE

Cell and atoms:
Unit cell a=6.1089 b=6.1089 c=5.7855 alpha=90.00 beta=90.00 gamma=120.00
Space group P-3m1 (No. 164)
One atom of each set of equivalent atoms:
1 Ce 0.3333 0.6667 0.1607 [2 per cell]
2 Hf 0.0000 0.0000 0.0000 [1 per cell]
3 Ga 0.1833 0.3666 0.6646 [6 per cell]

Most intense lines, 10° ≤ 2θ ≤ 90°, low angle first:
2theta	intensity
29.2	32
33.2	68
35.4	67
37.4	100
60.6	27
67.5	26

---

Computed X-ray diffraction stick pattern
Compound: CeHfGa6
Radiation: λ = 1.5418 Å (Cu Kα)
Structure: a crystal structure in Alexandria, relaxed with PBE

Cell and atoms:
Unit cell a=4.234 b=4.234 c=8.376 alpha=90.00 beta=90.00 gamma=90.00
Space group P4/mmm (No. 123)
One atom of each set of equivalent atoms:
1 Ce 0.000 0.000 0.000 [1 per cell]
2 Hf 0.000 0.000 0.500 [1 per cell]
3 Ga 0.000 0.500 0.261 [4 per cell]
4 Ga 0.500 0.500 0.000 [1 per cell]
5 Ga 0.500 0.500 0.500 [1 per cell]

Most intense lines, 10° ≤ 2θ ≤ 90°, low angle first:
2theta	intensity
36.9	100
42.7	33
43.2	16
62.4	21
74.4	25
75.1	11

---

Computed X-ray diffraction stick pattern
Compound: Ce7GaHg3
Radiation: λ = 1.5418 Å (Cu Kα)
Structure: a crystal structure in Alexandria, relaxed with PBE

Cell and atoms:
Unit cell a=11.093 b=10.804 c=5.634 alpha=90.00 beta=115.17 gamma=90.00
Space group C2/m (No. 12)
One atom of each set of equivalent atoms:
1 Ce 0.000 0.000 0.000 [2 per cell]
2 Ce 0.179 0.249 0.650 [8 per cell]
3 Ce 0.206 0.500 0.187 [4 per cell]
4 Ga 0.000 0.000 0.500 [2 per cell]
5 Hg 0.000 0.281 0.000 [4 per cell]
6 Hg 0.000 0.500 0.500 [2 per cell]

Most intense lines, 10° ≤ 2θ ≤ 90°, low angle first:
2theta	intensity
31.9	94
33.2	77
33.8	31
34.2	100
36.5	73
46.7	56

---

Computed X-ray diffraction stick pattern
Compound: Ce3GaHg
Radiation: λ = 1.5418 Å (Cu Kα)
Structure: a crystal structure in Alexandria, relaxed with PBE

Cell and atoms:
Unit cell a=8.787 b=8.994 c=6.551 alpha=90.00 beta=90.00 gamma=90.00
Space group Pnnm (No. 58)
One atom of each set of equivalent atoms:
1 Ce 0.000 0.000 0.245 [4 per cell]
2 Ce 0.104 0.382 0.286 [8 per cell]
3 Ga 0.210 0.679 0.500 [4 per cell]
4 Hg 0.183 0.658 0.000 [4 per cell]

Most intense lines, 10° ≤ 2θ ≤ 90°, low angle first:
2theta	intensity
31.5	95
32.1	54
34.1	64
35.4	100
35.6	72
36.6	41

---

Computed X-ray diffraction stick pattern
Compound: Ce5Ga3Hg
Radiation: λ = 1.5418 Å (Cu Kα)
Structure: a crystal structure in Alexandria, relaxed with PBE

Cell and atoms:
Unit cell a=9.1289 b=9.1289 c=6.3587 alpha=90.00 beta=90.00 gamma=120.00
Space group P6_3/mcm (No. 193)
One atom of each set of equivalent atoms:
1 Ce 0.0000 0.3085 0.2500 [6 per cell]
2 Ce 0.3333 0.6667 0.0000 [4 per cell]
3 Ga 0.0000 0.3588 0.7500 [6 per cell]
4 Hg 0.0000 0.0000 0.0000 [2 per cell]

Most intense lines, 10° ≤ 2θ ≤ 90°, low angle first:
2theta	intensity
34.0	94
34.4	100
49.1	35
60.9	15
61.1	34
69.0	24